# Y3Ru2
Computed PXRD pattern, λ = 1.5418 Å (Cu Kα). Input: a crystal structure in Alexandria, relaxed with PBE.
Lines closer than 0.1° are merged.

Most intense lines, 15° ≤ 2θ ≤ 90°, in order of falling intensity:
(1 0 2), 37.6°, I 100; (1 1 0), 37.2°, I 96; (2 1 2), 67.3°, I 34; (0 2 2), 53.9°, I 34; (1 0 0), 21.2°, I 20; (3 0 0), 67.1°, I 16; (1 0 1), 26.2°, I 15; (0 1 4), 68.1°, I 15; (0 0 1), 15.2°, I 15; (2 2 0), 79.3°, I 10; (2 0 4), 80.2°, I 10; (1 1 1), 40.4°, I 8

Crystal structure
```
data_Y3Ru2
_space_group_name_H-M_alt 'P -3 m 1'
_space_group_IT_number 164
_space_group_name_Hall '-P 3 2"'
_cell_length_a 4.8326
_cell_length_b 4.8326
_cell_length_c 5.8329
_cell_angle_alpha 90.00
_cell_angle_beta 90.00
_cell_angle_gamma 120.00
loop_
_atom_site_label
_atom_site_type_symbol
_atom_site_fract_x
_atom_site_fract_y
_atom_site_fract_z
Y1 Y 0.0000 0.0000 0.0000
Y2 Y 0.3333 0.6667 0.3384
Ru1 Ru 0.3333 0.6667 0.8412
```